Theoretical XRD peak list
Compound: Ba2TbYS5
Radiation: Cu Kα (λ = 1.5418 Å)
Structure: a structure optimized by DFT (GGA-PBE)

Peak list (10 most intense, 2θ from 10° to 90°, most intense first)
- 2θ = 29.1°, rel. 100
- 2θ = 22.1°, rel. 48
- 2θ = 31.5°, rel. 43
- 2θ = 25.1°, rel. 40
- 2θ = 24.3°, rel. 37
- 2θ = 25.8°, rel. 37
- 2θ = 42.2°, rel. 29
- 2θ = 35.8°, rel. 26
- 2θ = 26.7°, rel. 25
- 2θ = 44.2°, rel. 21

Cell and atoms:
```
data_Ba2TbYS5
_cell_length_a 8.963
_cell_length_b 8.963
_cell_length_c 13.590
_cell_angle_alpha 90.00
_cell_angle_beta 90.00
_cell_angle_gamma 152.33
_symmetry_space_group_name_H-M 'P 1'
_symmetry_Int_Tables_number 1
_symmetry_space_group_name_Hall 'P 1'
loop_
_atom_site_label
_atom_site_type_symbol
_atom_site_fract_x
_atom_site_fract_y
_atom_site_fract_z
Ba1 Ba 0.103 0.897 0.500
Ba2 Ba 0.142 0.858 0.115
Ba3 Ba 0.858 0.142 0.615
Ba4 Ba 0.897 0.103 0.000
Tb1 Tb 0.217 0.783 0.835
Tb2 Tb 0.783 0.217 0.335
Y1 Y 0.469 0.531 0.274
Y2 Y 0.531 0.469 0.774
S1 S 0.060 0.940 0.877
S2 S 0.278 0.722 0.468
S3 S 0.317 0.683 0.206
S4 S 0.374 0.626 0.814
S5 S 0.491 0.509 0.590
S6 S 0.509 0.491 0.090
S7 S 0.626 0.374 0.314
S8 S 0.683 0.317 0.706
S9 S 0.722 0.278 0.968
S10 S 0.940 0.060 0.377
```